(1)
This entry pairs a crystal structure of Pm4SiTe2 with its calculated X-ray powder pattern. Radiation: λ = 1.5418 Å (Cu Kα). Structure: a cell relaxed with GGA-PBE.

Atomic structure:
```
data_Pm4SiTe2
_space_group_name_H-M_alt 'C m c m'
_space_group_IT_number 63
_space_group_name_Hall '-C 2c 2'
_cell_length_a 4.2208
_cell_length_b 14.3398
_cell_length_c 14.5375
_cell_angle_alpha 90.00
_cell_angle_beta 90.00
_cell_angle_gamma 90.00
loop_
_atom_site_label
_atom_site_fract_x
_atom_site_fract_y
_atom_site_fract_z
_atom_site_occupancy
Pm1 0.0000 0.0000 0.0000 1
Pm2 0.0000 0.2944 0.1327 1
Pm3 0.0000 0.4611 0.7500 1
Si1 0.0000 0.1019 0.7500 1
Te1 0.0000 0.3549 0.5687 1
```

Top 10 peaks for 2θ from 5° to 70°, sorted by position:
| index | two_theta | Rel. int. |
| --- | --- | --- |
| 0 2 4 | 27.52 | 100 |
| 1 3 0 | 28.21 | 72 |
| 1 3 1 | 28.88 | 59 |
| 1 3 2 | 30.82 | 79 |
| 0 2 5 | 33.25 | 29 |
| 1 1 5 | 38.11 | 63 |
| 0 6 3 | 42.16 | 29 |
| 1 5 3 | 42.43 | 35 |
| 2 0 0 | 42.85 | 39 |
| 2 2 4 | 51.68 | 35 |

(2)
This entry pairs a crystal structure of PmNiH8Rh4 with its calculated X-ray powder pattern. Radiation: λ = 1.5418 Å (Cu Kα). Structure: a cell relaxed with GGA-PBE.

Atomic structure:
```
data_PmNiH8Rh4
_space_group_name_H-M_alt 'R 3 m'
_space_group_IT_number 160
_space_group_name_Hall 'R 3 -2"'
_cell_length_a 5.6805
_cell_length_b 5.6805
_cell_length_c 13.3761
_cell_angle_alpha 90.00
_cell_angle_beta 90.00
_cell_angle_gamma 120.00
loop_
_atom_site_label
_atom_site_fract_x
_atom_site_fract_y
_atom_site_fract_z
_atom_site_occupancy
Pm1 0.0000 0.0000 0.0000 1
Ni1 0.0000 0.0000 0.6158 1
H1 0.0000 0.0000 0.3747 1
H2 0.0000 0.0000 0.8360 1
H3 0.0997 0.5498 0.3781 1
H4 0.1782 0.3565 0.2058 1
Rh1 0.0000 0.0000 0.2410 1
Rh2 0.0069 0.5034 0.1197 1
```

Top 10 peaks for 2θ from 5° to 70°, sorted by position:
| index | two_theta | Rel. int. |
| --- | --- | --- |
| 1 1 0 | 31.50 | 33 |
| 1 0 4 | 32.37 | 58 |
| 0 2 1 | 37.17 | 88 |
| 1 1 3 | 37.55 | 100 |
| 0 1 5 | 38.30 | 59 |
| 2 0 2 | 39.02 | 61 |
| 0 3 3 | 60.12 | 25 |
| 1 2 5 | 60.65 | 31 |
| 2 2 0 | 65.76 | 34 |
| 2 0 8 | 67.77 | 30 |

(3)
This entry pairs a crystal structure of TbPu3Sb4 with its calculated X-ray powder pattern. Radiation: λ = 1.5418 Å (Cu Kα). Structure: a cell relaxed with GGA-PBE.

Atomic structure:
```
data_TbPu3Sb4
_space_group_name_H-M_alt 'C m m m'
_space_group_IT_number 65
_space_group_name_Hall '-C 2 2'
_cell_length_a 8.8361
_cell_length_b 12.4922
_cell_length_c 4.4182
_cell_angle_alpha 90.00
_cell_angle_beta 90.00
_cell_angle_gamma 90.00
loop_
_atom_site_label
_atom_site_fract_x
_atom_site_fract_y
_atom_site_fract_z
_atom_site_occupancy
Tb1 0.0000 0.0000 0.0000 1
Pu1 0.0000 0.5000 0.0000 1
Pu2 0.2500 0.2500 0.5000 1
Sb1 0.0000 0.2501 0.0000 1
Sb2 0.2493 0.5000 0.5000 1
```

Top 10 peaks for 2θ from 5° to 70°, sorted by position:
| index | two_theta | Rel. int. |
| --- | --- | --- |
| 1 1 0 | 12.27 | 1 |
| 1 3 0 | 23.62 | 1 |
| 2 2 0 | 24.68 | 14 |
| 2 0 1 | 28.58 | 100 |
| 4 0 0 | 40.85 | 77 |
| 4 2 1 | 48.32 | 8 |
| 4 4 0 | 50.61 | 28 |
| 4 0 2 | 59.15 | 13 |
| 6 2 0 | 65.08 | 3 |
| 6 0 1 | 66.99 | 36 |

(4)
This entry pairs a crystal structure of Pm2Sm4YSc with its calculated X-ray powder pattern. Radiation: λ = 1.5418 Å (Cu Kα). Structure: a cell relaxed with GGA-PBE.

Atomic structure:
```
data_Pm2Sm4YSc
_space_group_name_H-M_alt 'P 1 2/m 1'
_space_group_IT_number 10
_cell_length_a 5.0712
_cell_length_b 5.0828
_cell_length_c 10.0723
_cell_angle_alpha 90.00
_cell_angle_beta 90.05
_cell_angle_gamma 90.00
loop_
_space_group_symop_operation_xyz
'x,y,z'
'-x,-y,-z'
'-x,y,-z'
'x,-y,z'
loop_
_atom_site_label
_atom_site_fract_x
_atom_site_fract_y
_atom_site_fract_z
_atom_site_occupancy
Pm1 0.0000 0.0000 0.0000 1
Pm2 0.5000 0.5000 0.5000 1
Sm1 0.9997 0.5000 0.2442 1
Sm2 0.4999 0.0000 0.2448 1
Y1 0.0000 0.0000 0.5000 1
Sc1 0.5000 0.5000 0.0000 1
```

Top 10 peaks for 2θ from 5° to 70°, sorted by position:
| index | two_theta | Rel. int. |
| --- | --- | --- |
| 1 0 1 | 19.58 | 7 |
| 1 1 2 | 30.58 | 100 |
| 2 0 0 | 35.36 | 34 |
| 0 0 4 | 35.66 | 16 |
| 2 2 0 | 50.87 | 12 |
| 2 0 4 | 51.09 | 23 |
| 1 3 2 | 60.47 | 14 |
| 3 1 2 | 60.58 | 14 |
| 1 1 6 | 60.92 | 14 |
| 2 2 4 | 63.66 | 12 |

(5)
This entry pairs a crystal structure of Sr2CdPdO5 with its calculated X-ray powder pattern. Radiation: λ = 1.5418 Å (Cu Kα). Structure: a cell relaxed with GGA-PBE.

Atomic structure:
```
data_Sr2CdPdO5
_space_group_name_H-M_alt 'P 4/m m m'
_space_group_IT_number 123
_space_group_name_Hall '-P 4 2'
_cell_length_a 3.9439
_cell_length_b 3.9439
_cell_length_c 8.5675
_cell_angle_alpha 90.00
_cell_angle_beta 90.00
_cell_angle_gamma 90.00
loop_
_atom_site_label
_atom_site_fract_x
_atom_site_fract_y
_atom_site_fract_z
_atom_site_occupancy
Sr1 0.0000 0.0000 0.2171 1
Cd1 0.5000 0.5000 0.5000 1
Pd1 0.5000 0.5000 0.0000 1
O1 0.0000 0.0000 0.5000 1
O2 0.0000 0.5000 0.0000 1
O3 0.5000 0.5000 0.2454 1
```

Top 10 peaks for 2θ from 5° to 70°, sorted by position:
| index | two_theta | Rel. int. |
| --- | --- | --- |
| 0 0 1 | 10.33 | 8 |
| 1 0 2 | 30.82 | 100 |
| 1 1 0 | 32.10 | 70 |
| 0 0 4 | 42.19 | 17 |
| 1 1 3 | 45.46 | 7 |
| 2 0 0 | 46.03 | 33 |
| 1 1 4 | 53.98 | 23 |
| 2 1 2 | 56.42 | 37 |
| 2 0 4 | 64.20 | 17 |
| 2 2 0 | 67.13 | 10 |

(6)
This entry pairs a crystal structure of RbTiZnSb3 with its calculated X-ray powder pattern. Radiation: λ = 1.5418 Å (Cu Kα). Structure: a cell relaxed with GGA-PBE.

Atomic structure:
```
data_RbTiZnSb3
_space_group_name_H-M_alt 'P 1 21/m 1'
_space_group_IT_number 11
_cell_length_a 9.3208
_cell_length_b 4.1038
_cell_length_c 9.6873
_cell_angle_alpha 90.00
_cell_angle_beta 104.88
_cell_angle_gamma 90.00
loop_
_space_group_symop_operation_xyz
'x,y,z'
'-x,-y,-z'
'-x,y+1/2,-z'
'x,-y+1/2,z'
loop_
_atom_site_label
_atom_site_fract_x
_atom_site_fract_y
_atom_site_fract_z
_atom_site_occupancy
Rb1 0.2337 0.2500 0.4423 1
Ti1 0.3685 0.2500 0.9716 1
Zn1 0.1104 0.7500 0.9940 1
Sb1 0.0630 0.2500 0.8053 1
Sb2 0.3526 0.7500 0.7728 1
Sb3 0.3779 0.7500 0.1897 1
```

Top 10 peaks for 2θ from 5° to 70°, sorted by position:
| index | two_theta | Rel. int. |
| --- | --- | --- |
| 0 0 1 | 9.45 | 100 |
| 2 0 -2 | 23.61 | 38 |
| 1 1 1 | 26.62 | 39 |
| 0 1 2 | 28.94 | 55 |
| 2 1 0 | 29.45 | 35 |
| 2 1 -2 | 32.26 | 83 |
| 2 1 -3 | 37.61 | 46 |
| 2 1 2 | 38.04 | 50 |
| 4 0 -1 | 38.65 | 34 |
| 0 2 0 | 44.14 | 37 |

(7)
This entry pairs a crystal structure of LiAs2PbO6 with its calculated X-ray powder pattern. Radiation: λ = 1.5418 Å (Cu Kα). Structure: a cell relaxed with GGA-PBE.

Atomic structure:
```
data_LiAs2PbO6
_space_group_name_H-M_alt 'C 1 2/c 1'
_space_group_IT_number 15
_cell_length_a 11.0515
_cell_length_b 9.8120
_cell_length_c 6.4139
_cell_angle_alpha 90.00
_cell_angle_beta 116.66
_cell_angle_gamma 90.00
loop_
_space_group_symop_operation_xyz
'x,y,z'
'-x,-y,-z'
'-x,y,-z+1/2'
'x,-y,z+1/2'
'x+1/2,y+1/2,z'
'-x+1/2,-y+1/2,-z'
'-x+1/2,y+1/2,-z+1/2'
'x+1/2,-y+1/2,z+1/2'
loop_
_atom_site_label
_atom_site_fract_x
_atom_site_fract_y
_atom_site_fract_z
_atom_site_occupancy
Li1 0.0000 0.2172 0.2500 1
As1 0.2022 0.4259 0.6735 1
Pb1 0.0000 0.1359 0.7500 1
O1 0.1219 0.0841 0.1904 1
O2 0.1257 0.2719 0.5728 1
O3 0.1564 0.4627 0.9229 1
```

Top 10 peaks for 2θ from 5° to 70°, sorted by position:
| index | two_theta | Rel. int. |
| --- | --- | --- |
| 1 1 0 | 12.72 | 36 |
| 1 1 -1 | 16.64 | 36 |
| 1 1 1 | 23.01 | 51 |
| 2 2 -1 | 25.39 | 100 |
| 3 1 0 | 28.60 | 46 |
| 1 3 0 | 28.75 | 23 |
| 1 1 -2 | 29.72 | 28 |
| 0 0 2 | 31.21 | 22 |
| 2 2 1 | 34.10 | 28 |
| 4 0 -2 | 35.80 | 23 |

(8)
This entry pairs a crystal structure of LaMg6Si with its calculated X-ray powder pattern. Radiation: λ = 1.5418 Å (Cu Kα). Structure: a cell relaxed with GGA-PBE.

Atomic structure:
```
data_LaMg6Si
_space_group_name_H-M_alt 'A m m 2'
_space_group_IT_number 38
_cell_length_a 4.6394
_cell_length_b 6.2922
_cell_length_c 13.2222
_cell_angle_alpha 90.00
_cell_angle_beta 90.00
_cell_angle_gamma 90.00
loop_
_space_group_symop_operation_xyz
'x,y,z'
'-x,-y,z'
'-x,y,z'
'x,-y,z'
'x,y+1/2,z+1/2'
'-x,-y+1/2,z+1/2'
'-x,y+1/2,z+1/2'
'x,-y+1/2,z+1/2'
loop_
_atom_site_label
_atom_site_fract_x
_atom_site_fract_y
_atom_site_fract_z
_atom_site_occupancy
La1 0.0000 0.0000 0.0000 1
Mg1 0.0000 0.0000 0.5656 1
Mg2 0.0000 0.2411 0.2800 1
Mg3 0.5000 0.0000 0.4119 1
Mg4 0.5000 0.2438 0.1471 1
Si1 0.5000 0.0000 0.8347 1
```

Top 10 peaks for 2θ from 5° to 70°, sorted by position:
| index | two_theta | Rel. int. |
| --- | --- | --- |
| 0 0 2 | 13.39 | 27 |
| 0 1 1 | 15.60 | 60 |
| 1 0 2 | 23.42 | 30 |
| 1 1 1 | 24.78 | 49 |
| 0 2 2 | 31.44 | 100 |
| 1 0 4 | 33.28 | 56 |
| 1 2 2 | 37.11 | 66 |
| 2 0 0 | 38.82 | 27 |
| 2 2 2 | 50.82 | 24 |
| 2 1 5 | 54.58 | 25 |